# 1
Diffraction record for CsCoPt2. The PXRD pattern is calculated, not measured: it uses a DFT-relaxed cell (PBE, Alexandria) and λ = 1.5418 Å (Cu Kα).
Intensities are scaled so that the largest is 100.

Principal peaks in the range 10 to 80 degrees two-theta, in order of rising 2θ:
2theta	intensity
17.4	74
23.6	100
25.9	53
32.8	43
35.1	93
37.7	60
46.0	25
48.3	39
53.3	64
55.8	20

Unit cell a=5.4000 b=5.4000 c=15.7971 alpha=90.00 beta=90.00 gamma=90.00
Positions (direct):
Cs (0.0000, 0.2500, 0.3750)
Cs (0.0000, 0.7500, 0.6250)
Cs (0.5000, 0.2500, 0.1250)
Cs (0.5000, 0.7500, 0.8750)
Co (0.0000, 0.2500, 0.8750)
Co (0.0000, 0.7500, 0.1250)
Co (0.5000, 0.2500, 0.6250)
Co (0.5000, 0.7500, 0.3750)
Pt (0.0000, 0.0000, 0.0000)
Pt (0.0000, 0.5000, 0.0000)
Pt (0.2500, 0.2500, 0.7500)
Pt (0.2500, 0.7500, 0.2500)
Pt (0.5000, 0.0000, 0.5000)
Pt (0.5000, 0.5000, 0.5000)
Pt (0.7500, 0.2500, 0.7500)
Pt (0.7500, 0.7500, 0.2500)

# 2
Diffraction record for LaTbIn4. The PXRD pattern is calculated, not measured: it uses a DFT-relaxed cell (PBE, Alexandria) and λ = 1.5418 Å (Cu Kα).
Intensities are scaled so that the largest is 100.

Principal peaks in the range 10 to 80 degrees two-theta, in order of rising 2θ:
2theta	intensity
29.3	34
34.5	100
36.1	33
42.0	2
52.0	14
55.5	34
60.9	28
69.0	6
71.9	11
72.9	12

Unit cell a=6.0883 b=6.0883 c=6.0883 alpha=60.00 beta=60.00 gamma=60.00
Positions (direct):
La (0.0000, 0.0000, 0.0000)
Tb (0.7500, 0.7500, 0.7500)
In (0.3751, 0.3751, 0.3751)
In (0.3751, 0.3751, 0.8748)
In (0.3751, 0.8748, 0.3751)
In (0.8748, 0.3751, 0.3751)

# 3
Diffraction record for PrGa8Pt2. The PXRD pattern is calculated, not measured: it uses a DFT-relaxed cell (PBE, Alexandria) and λ = 1.5418 Å (Cu Kα).
Intensities are scaled so that the largest is 100.

Principal peaks in the range 10 to 80 degrees two-theta, in order of rising 2θ:
2theta	intensity
11.0	78
24.5	85
38.5	100
40.4	23
44.5	39
46.4	27
51.5	23
61.6	14
64.7	13
77.9	25

Unit cell a=5.7597 b=5.7597 c=8.0131 alpha=90.00 beta=90.00 gamma=90.00
Positions (direct):
Pr (0.0000, 0.0000, 0.0000)
Ga (0.2547, 0.2547, 0.2955)
Ga (0.2547, 0.2547, 0.7045)
Ga (0.2547, 0.7453, 0.2955)
Ga (0.2547, 0.7453, 0.7045)
Ga (0.7453, 0.2547, 0.2955)
Ga (0.7453, 0.2547, 0.7045)
Ga (0.7453, 0.7453, 0.2955)
Ga (0.7453, 0.7453, 0.7045)
Pt (0.0000, 0.5000, 0.5000)
Pt (0.5000, 0.0000, 0.5000)

# 4
Diffraction record for Pr6ZnS5. The PXRD pattern is calculated, not measured: it uses a DFT-relaxed cell (PBE, Alexandria) and λ = 1.5418 Å (Cu Kα).
Intensities are scaled so that the largest is 100.

Principal peaks in the range 10 to 80 degrees two-theta, in order of rising 2θ:
2theta	intensity
26.3	45
26.4	15
30.5	100
43.7	49
43.8	24
51.7	22
54.2	13
63.5	12
72.1	16
72.2	11

Unit cell a=7.1792 b=7.1792 c=7.1548 alpha=99.59 beta=99.59 gamma=119.93
Positions (direct):
Pr (0.0758, 0.4159, 0.7464)
Pr (0.2452, 0.2452, 0.2526)
Pr (0.4159, 0.0758, 0.7464)
Pr (0.5841, 0.9242, 0.2536)
Pr (0.7548, 0.7548, 0.7474)
Pr (0.9242, 0.5841, 0.2536)
Zn (0.5000, 0.5000, 0.0000)
S (0.0000, 0.0000, 0.5000)
S (0.1662, 0.8338, 0.0000)
S (0.3349, 0.6651, 0.5000)
S (0.6651, 0.3349, 0.5000)
S (0.8338, 0.1662, 0.0000)

# 5
Diffraction record for Nd3ZnNi3. The PXRD pattern is calculated, not measured: it uses a DFT-relaxed cell (PBE, Alexandria) and λ = 1.5418 Å (Cu Kα).
Intensities are scaled so that the largest is 100.

Principal peaks in the range 10 to 80 degrees two-theta, in order of rising 2θ:
2theta	intensity
26.4	24
30.4	68
32.1	50
33.9	76
35.3	100
39.6	80
40.5	27
40.9	38
42.6	51
68.4	24

Unit cell a=5.5004 b=5.5004 c=13.3650 alpha=90.00 beta=90.00 gamma=134.63
Positions (direct):
Nd (0.0082, 0.9918, 0.7500)
Nd (0.2898, 0.7102, 0.6038)
Nd (0.2898, 0.7102, 0.8962)
Nd (0.7102, 0.2898, 0.1038)
Nd (0.7102, 0.2898, 0.3962)
Nd (0.9918, 0.0082, 0.2500)
Zn (0.0000, 0.0000, 0.0000)
Zn (0.0000, 0.0000, 0.5000)
Ni (0.2879, 0.7121, 0.2500)
Ni (0.4225, 0.5775, 0.0883)
Ni (0.4225, 0.5775, 0.4117)
Ni (0.5775, 0.4225, 0.5883)
Ni (0.5775, 0.4225, 0.9117)
Ni (0.7121, 0.2879, 0.7500)

# 6
Diffraction record for DyThGe2. The PXRD pattern is calculated, not measured: it uses a DFT-relaxed cell (PBE, Alexandria) and λ = 1.5418 Å (Cu Kα).
Intensities are scaled so that the largest is 100.

Principal peaks in the range 10 to 80 degrees two-theta, in order of rising 2θ:
2theta	intensity
28.6	89
31.1	100
32.3	99
34.7	86
36.9	49
39.1	74
43.9	41
47.9	31
51.1	27
55.5	43

Unit cell a=4.1265 b=5.9123 c=8.0186 alpha=90.00 beta=90.00 gamma=90.00
Positions (direct):
Dy (0.0000, 0.1231, 0.0000)
Dy (0.0000, 0.8769, 0.5000)
Th (0.5000, 0.3736, 0.3625)
Th (0.5000, 0.6264, 0.8625)
Ge (0.0000, 0.3967, 0.6393)
Ge (0.0000, 0.6033, 0.1393)
Ge (0.5000, 0.1058, 0.7243)
Ge (0.5000, 0.8942, 0.2243)